Starting from a crystal structure in Alexandria, relaxed with PBE+U, the powder X-ray diffraction pattern of Na2FeAg2F6 was calculated for copper Kα.
Neutral-atom scattering factors, no anomalous dispersion.

Structural model:
```
data_Na2FeAg2F6
_cell_length_a 5.830
_cell_length_b 9.709
_cell_length_c 6.132
_cell_angle_alpha 90.00
_cell_angle_beta 110.38
_cell_angle_gamma 90.00
_space_group_name_H-M_alt 'C 1 2/m 1'
_space_group_IT_number 12
_space_group_name_Hall '-C 2y'
loop_
_atom_site_label
_atom_site_fract_x
_atom_site_fract_y
_atom_site_fract_z
Na1 0.000 0.161 0.000
Fe1 0.000 0.500 0.000
Ag1 0.000 0.317 0.500
F1 0.220 0.500 0.789
F2 0.224 0.344 0.204
```

Peak list (12 most intense, 2θ = 15–90°, by angle)
2θ/deg, I (rel.), h k l
18.3, 18, 0 2 0
18.6, 69, 1 1 0
24.0, 66, 0 2 1
31.1, 39, 0 0 2
32.8, 20, 2 0 0
33.2, 35, 1 3 -1
36.2, 17, 2 2 -1
36.6, 58, 2 0 -2
38.3, 100, 1 3 1
51.3, 17, 2 2 -3
53.0, 32, 1 3 -3
55.1, 30, 3 3 -1